Diffraction record for AlPd. The powder X-ray diffraction pattern is calculated, not measured: it uses a GGA-PBE-relaxed structure and CuKα.

Crystal structure
```
data_AlPd
_chemical_formula_sum 'Al4 Pd4'
_cell_length_a 4.9087
_cell_length_b 4.9087
_cell_length_c 4.9087
_cell_angle_alpha 90.00
_cell_angle_beta 90.00
_cell_angle_gamma 90.00
_symmetry_space_group_name_H-M 'P 1'
_symmetry_Int_Tables_number 1
loop_
_symmetry_equiv_pos_as_xyz
'x,y,z'
loop_
_atom_site_label
_atom_site_fract_x
_atom_site_fract_y
_atom_site_fract_z
Al1 0.1557 0.3443 0.6557
Al2 0.3443 0.6557 0.1557
Al3 0.6557 0.1557 0.3443
Al4 0.8443 0.8443 0.8443
Pd1 0.1474 0.1474 0.1474
Pd2 0.3526 0.8526 0.6474
Pd3 0.6474 0.3526 0.8526
Pd4 0.8526 0.6474 0.3526
```

Main lines, sorted by position (10 to 90 degrees two-theta):
25.67 deg, I 420; 31.57 deg, I 252; 41.12 deg, I 1000; 45.25 deg, I 446; 68.98 deg, I 112; 71.98 deg, I 294

***

Diffraction record for Al3Pd. The powder X-ray diffraction pattern is calculated, not measured: it uses a GGA-PBE-relaxed structure and CuKα.

Crystal structure
```
data_Al3Pd
_chemical_formula_sum 'Al3 Pd1'
_cell_length_a 3.9469
_cell_length_b 3.9469
_cell_length_c 3.9469
_cell_angle_alpha 90.00
_cell_angle_beta 90.00
_cell_angle_gamma 90.00
_symmetry_space_group_name_H-M 'P 1'
_symmetry_Int_Tables_number 1
loop_
_symmetry_equiv_pos_as_xyz
'x,y,z'
loop_
_atom_site_label
_atom_site_fract_x
_atom_site_fract_y
_atom_site_fract_z
Al1 0.0000 0.0000 0.5000
Al2 0.0000 0.5000 0.0000
Al3 0.5000 0.0000 0.0000
Pd1 0.5000 0.5000 0.5000
```

Main lines, sorted by position (10 to 90 degrees two-theta):
22.53 deg, I 602; 32.07 deg, I 494; 39.55 deg, I 1000; 45.99 deg, I 482; 67.07 deg, I 306; 80.75 deg, I 361

***

Diffraction record for AlPd. The powder X-ray diffraction pattern is calculated, not measured: it uses a GGA-PBE-relaxed structure and CuKα.

Crystal structure
```
data_AlPd
_chemical_formula_sum 'Al13 Pd13'
_cell_length_a 9.2816
_cell_length_b 9.2816
_cell_length_c 9.2816
_cell_angle_alpha 116.45
_cell_angle_beta 116.45
_cell_angle_gamma 116.45
_symmetry_space_group_name_H-M 'P 1'
_symmetry_Int_Tables_number 1
loop_
_symmetry_equiv_pos_as_xyz
'x,y,z'
loop_
_atom_site_label
_atom_site_fract_x
_atom_site_fract_y
_atom_site_fract_z
Al1 0.0000 0.0000 0.0000
Al2 0.0985 0.6555 0.2531
Al3 0.1540 0.4453 0.4020
Al4 0.2531 0.0985 0.6555
Al5 0.3445 0.7469 0.9015
Al6 0.4020 0.1540 0.4453
Al7 0.4453 0.4020 0.1540
Al8 0.5547 0.5980 0.8460
Al9 0.5980 0.8460 0.5547
Al10 0.6555 0.2531 0.0985
Al11 0.7469 0.9015 0.3445
Al12 0.8460 0.5547 0.5980
Al13 0.9015 0.3445 0.7469
Pd1 0.0544 0.0974 0.3437
Pd2 0.0974 0.3437 0.0544
Pd3 0.1554 0.7519 0.5988
Pd4 0.2481 0.4012 0.8446
Pd5 0.3437 0.0544 0.0974
Pd6 0.4012 0.8446 0.2481
Pd7 0.5000 0.5000 0.5000
Pd8 0.5988 0.1554 0.7519
Pd9 0.6563 0.9456 0.9026
Pd10 0.7519 0.5988 0.1554
Pd11 0.8446 0.2481 0.4012
Pd12 0.9026 0.6563 0.9456
Pd13 0.9456 0.9026 0.6563
```

Main lines, sorted by position (10 to 90 degrees two-theta):
24.03 deg, I 295; 28.94 deg, I 576; 38.09 deg, I 243; 41.25 deg, I 1000; 41.51 deg, I 601; 68.11 deg, I 158